1.
This entry pairs a crystal structure of DyTm3Pd2 with its computed powder diffraction line list. Radiation: Cu Ka. Structure: DFT lattice parameters and positions (GGA-PBE).
Lines closer than 0.1° are merged.

Peak list (8 most intense, 10 to 90 degrees two-theta, by intensity)
2theta  I_rel  h k l
30.49  100.0  1 2 1
33.16  83.8  1 1 2
37.14  60.7  2 0 0
36.25  56.4  1 3 0
31.46  42.0  1 0 2
33.58  24.1  0 3 1
70.60  22.2  0 6 2
61.39  22.0  1 4 3

```
data_DyTm3Pd2
_chemical_formula_sum 'Dy2 Tm6 Pd4'
_cell_length_a 4.841
_cell_length_b 8.655
_cell_length_c 7.029
_cell_angle_alpha 90.00
_cell_angle_beta 90.00
_cell_angle_gamma 90.00
_space_group_name_H-M_alt 'P m c 21'
_space_group_IT_number 26
loop_
_space_group_symop_operation_xyz
'x,y,z'
'-x,-y,z+1/2'
'-x,y,z'
'x,-y,z+1/2'
loop_
_atom_site_label
_atom_site_type_symbol
_atom_site_fract_x
_atom_site_fract_y
_atom_site_fract_z
Dy1 Dy 0.000 0.078 0.000
Tm1 Tm 0.000 0.330 0.628
Tm2 Tm 0.500 0.172 0.339
Tm3 Tm 0.500 0.423 0.967
Pd1 Pd 0.000 0.347 0.226
Pd2 Pd 0.500 0.157 0.741
```

2.
This entry pairs a crystal structure of SrLiAgAu2 with its computed powder diffraction line list. Radiation: Cu Ka. Structure: DFT lattice parameters and positions (GGA-PBE).
Lines closer than 0.1° are merged.

Peak list (8 most intense, 10 to 90 degrees two-theta, by intensity)
2theta  I_rel  h k l
22.17  100.0  1 0 1
40.93  82.5  1 0 5
29.63  68.1  1 0 3
42.88  55.6  2 0 0
29.96  54.0  1 1 0
33.08  53.1  1 1 2
41.18  52.4  1 1 4
60.78  51.8  2 1 5

```
data_SrLiAgAu2
_chemical_formula_sum 'Sr2 Li2 Ag2 Au4'
_cell_length_a 4.218
_cell_length_b 4.218
_cell_length_c 12.931
_cell_angle_alpha 90.00
_cell_angle_beta 90.00
_cell_angle_gamma 90.00
_space_group_name_H-M_alt 'I -4 m 2'
_space_group_IT_number 119
_space_group_name_Hall 'I -4 -2'
loop_
_atom_site_label
_atom_site_type_symbol
_atom_site_fract_x
_atom_site_fract_y
_atom_site_fract_z
Sr1 Sr 0.000 0.000 0.000
Li1 Li 0.000 0.500 0.250
Ag1 Ag 0.000 0.500 0.750
Au1 Au 0.000 0.000 0.392
```

3.
This entry pairs a crystal structure of Rb2DyTe6 with its computed powder diffraction line list. Radiation: Cu Ka. Structure: DFT lattice parameters and positions (GGA-PBE).
Lines closer than 0.1° are merged.

Peak list (8 most intense, 10 to 90 degrees two-theta, by intensity)
2theta  I_rel  h k l
34.05  100.0  2 2 1
29.60  63.2  2 0 -2
35.68  57.9  4 2 -1
20.36  39.7  1 1 -1
27.13  38.2  6 0 0
19.50  37.5  3 1 0
18.55  34.9  2 0 1
37.62  27.3  4 0 2

```
data_Rb2DyTe6
_chemical_formula_sum 'Rb4 Dy2 Te12'
_cell_length_a 20.012
_cell_length_b 6.309
_cell_length_c 6.092
_cell_angle_alpha 90.00
_cell_angle_beta 99.73
_cell_angle_gamma 90.00
_space_group_name_H-M_alt 'C 1 2/m 1'
_space_group_IT_number 12
loop_
_space_group_symop_operation_xyz
'x,y,z'
'-x,-y,-z'
'-x,y,-z'
'x,-y,z'
'x+1/2,y+1/2,z'
'-x+1/2,-y+1/2,-z'
'-x+1/2,y+1/2,-z'
'x+1/2,-y+1/2,z'
loop_
_atom_site_label
_atom_site_type_symbol
_atom_site_fract_x
_atom_site_fract_y
_atom_site_fract_z
Rb1 Rb 0.186 0.000 0.211
Dy1 Dy 0.000 0.500 0.500
Te1 Te 0.000 0.273 0.000
Te2 Te 0.133 0.266 0.682
```

4.
This entry pairs a crystal structure of PmPr12Dy5 with its computed powder diffraction line list. Radiation: Cu Ka. Structure: DFT lattice parameters and positions (GGA-PBE).
Lines closer than 0.1° are merged.

Peak list (8 most intense, 10 to 90 degrees two-theta, by intensity)
2theta  I_rel  h k l
29.85  100.0  3 3 1
34.56  34.0  0 6 0
59.05  29.0  3 9 1
49.73  24.3  0 6 2
34.69  16.8  6 0 0
59.21  14.3  9 3 1
62.01  12.5  6 6 2
49.79  12.1  6 6 0

```
data_PmPr12Dy5
_chemical_formula_sum 'Pm2 Pr24 Dy10'
_cell_length_a 15.516
_cell_length_b 15.564
_cell_length_c 5.192
_cell_angle_alpha 90.00
_cell_angle_beta 90.00
_cell_angle_gamma 90.00
_space_group_name_H-M_alt 'C m m m'
_space_group_IT_number 65
_space_group_name_Hall '-C 2 2'
loop_
_atom_site_label
_atom_site_type_symbol
_atom_site_fract_x
_atom_site_fract_y
_atom_site_fract_z
Pm1 Pm 0.000 0.000 0.000
Pr1 Pr 0.164 0.333 0.500
Pr2 Pr 0.164 0.500 0.000
Pr3 Pr 0.165 0.167 0.000
Pr4 Pr 0.166 0.000 0.500
Dy1 Dy 0.000 0.167 0.500
Dy2 Dy 0.000 0.333 0.000
Dy3 Dy 0.000 0.500 0.500
```

5.
This entry pairs a crystal structure of AcSm10Y6 with its computed powder diffraction line list. Radiation: Cu Ka. Structure: DFT lattice parameters and positions (GGA-PBE).
Lines closer than 0.1° are merged.

Peak list (8 most intense, 10 to 90 degrees two-theta, by intensity)
2theta  I_rel  h k l
31.48  100.0  1 1 2
31.37  80.2  3 0 0
30.49  35.2  3 -1 1
55.89  29.4  4 1 2
45.04  28.0  4 -2 2
56.13  17.8  2 -1 4
22.08  14.2  2 -1 1
48.18  13.8  3 2 1

```
data_AcSm10Y6
_chemical_formula_sum 'Ac1 Sm10 Y6'
_cell_length_a 9.8784
_cell_length_b 9.8784
_cell_length_c 6.9477
_cell_angle_alpha 90.00
_cell_angle_beta 90.00
_cell_angle_gamma 120.00
_space_group_name_H-M_alt 'P -3 1 m'
_space_group_IT_number 162
_space_group_name_Hall '-P 3 2'
loop_
_atom_site_label
_atom_site_type_symbol
_atom_site_fract_x
_atom_site_fract_y
_atom_site_fract_z
Ac1 Ac 0.0000 0.0000 0.0000
Sm1 Sm 0.0000 0.2820 0.3274
Sm2 Sm 0.3333 0.6667 0.0000
Sm3 Sm 0.3333 0.6667 0.5000
Y1 Y 0.0000 0.3718 0.8117
```

6.
This entry pairs a crystal structure of SbH3OF6 with its computed powder diffraction line list. Radiation: Cu Ka. Structure: DFT lattice parameters and positions (GGA-PBE).
Lines closer than 0.1° are merged.

Peak list (8 most intense, 10 to 90 degrees two-theta, by intensity)
2theta  I_rel  h k l
17.29  100.0  2 0 0
24.55  99.8  2 2 0
43.21  40.7  4 2 2
53.61  22.0  4 4 2
30.18  19.6  2 2 2
68.45  19.4  6 2 4
39.28  19.1  4 0 2
56.76  18.2  6 0 2

```
data_SbH3OF6
_chemical_formula_sum 'Sb8 H24 O8 F48'
_cell_length_a 10.257
_cell_length_b 10.257
_cell_length_c 10.257
_cell_angle_alpha 90.00
_cell_angle_beta 90.00
_cell_angle_gamma 90.00
_space_group_name_H-M_alt 'I 21 3'
_space_group_IT_number 199
_space_group_name_Hall 'I 2b 2c 3'
loop_
_atom_site_label
_atom_site_type_symbol
_atom_site_fract_x
_atom_site_fract_y
_atom_site_fract_z
Sb1 Sb 0.250 0.250 0.250
H1 H 0.046 0.081 0.554
O1 O 0.014 0.486 0.514
F1 F 0.106 0.361 0.804
F2 F 0.109 0.149 0.316
```

7.
This entry pairs a crystal structure of Ba3NpN3 with its computed powder diffraction line list. Radiation: Cu Ka. Structure: DFT lattice parameters and positions (GGA-PBE).
Lines closer than 0.1° are merged.

Peak list (8 most intense, 10 to 90 degrees two-theta, by intensity)
2theta  I_rel  h k l
26.30  100.0  3 1 2
28.74  89.7  1 3 1
13.64  82.7  1 1 1
27.99  64.8  1 1 3
32.25  44.8  5 1 1
50.71  42.0  6 0 4
40.23  38.8  6 2 0
39.20  38.3  0 2 4

```
data_Ba3NpN3
_chemical_formula_sum 'Ba24 Np8 N24'
_cell_length_a 15.046
_cell_length_b 10.005
_cell_length_c 10.349
_cell_angle_alpha 90.00
_cell_angle_beta 90.00
_cell_angle_gamma 90.00
_space_group_name_H-M_alt 'C m c e'
_space_group_IT_number 64
_space_group_name_Hall '-C 2ac 2'
loop_
_atom_site_label
_atom_site_type_symbol
_atom_site_fract_x
_atom_site_fract_y
_atom_site_fract_z
Ba1 Ba 0.000 0.190 0.144
Ba2 Ba 0.166 0.173 0.875
Np1 Np 0.088 0.000 0.500
N1 N 0.000 0.156 0.402
N2 N 0.153 0.145 0.598
```

8.
This entry pairs a crystal structure of TbCd3Ag7 with its computed powder diffraction line list. Radiation: Cu Ka. Structure: DFT lattice parameters and positions (GGA-PBE).
Lines closer than 0.1° are merged.

Peak list (8 most intense, 10 to 90 degrees two-theta, by intensity)
2theta  I_rel  h k l
36.18  100.0  2 2 1
37.49  76.8  0 4 0
32.58  54.5  2 0 -2
39.21  39.2  0 2 2
42.12  26.6  4 2 -1
27.97  26.3  2 2 -1
40.47  25.5  4 0 0
50.49  21.7  2 4 -2

```
data_TbCd3Ag7
_chemical_formula_sum 'Tb2 Cd6 Ag14'
_cell_length_a 9.609
_cell_length_b 9.599
_cell_length_c 5.641
_cell_angle_alpha 90.00
_cell_angle_beta 111.88
_cell_angle_gamma 90.00
_space_group_name_H-M_alt 'C 1 2/m 1'
_space_group_IT_number 12
loop_
_space_group_symop_operation_xyz
'x,y,z'
'-x,-y,-z'
'-x,y,-z'
'x,-y,z'
'x+1/2,y+1/2,z'
'-x+1/2,-y+1/2,-z'
'-x+1/2,y+1/2,-z'
'x+1/2,-y+1/2,z'
loop_
_atom_site_label
_atom_site_type_symbol
_atom_site_fract_x
_atom_site_fract_y
_atom_site_fract_z
Tb1 Tb 0.000 0.000 0.000
Cd1 Cd 0.000 0.289 0.500
Cd2 Cd 0.000 0.500 0.000
Ag1 Ag 0.000 0.000 0.500
Ag2 Ag 0.192 0.268 0.195
Ag3 Ag 0.215 0.500 0.538
```